# 1
Diffraction record for PuHf5. The XRD peak list is computed, not measured: it uses a PBE-relaxed structure and CuKα.

Atomic structure:
abc: 5.464 9.536 5.475
angles: 90.00 108.94 90.00
Space group C2/m (No. 12)
One atom of each set of equivalent atoms:
Pu1 0.000 0.000 0.000 x2
Hf1 0.000 0.170 0.500 x4
Hf2 0.000 0.334 0.000 x4
Hf3 0.000 0.500 0.500 x2

Most intense lines, 2θ from 10° to 80°, by angle:
2theta  I/Imax  hkl
34.68  1000  2 0 0
40.12  336  1 3 1
40.53  164  2 0 -2
58.04  116  2 0 2
58.35  228  3 3 -1
69.41  272  3 3 1
69.96  100  3 3 -3
70.04  33  4 0 -2
73.15  88  0 0 4
73.26  29  4 0 0

# 2
Diffraction record for PuHf4Sc6. The XRD peak list is computed, not measured: it uses a PBE-relaxed structure and CuKα.

Atomic structure:
abc: 5.236 8.587 23.131
angles: 90.00 91.98 90.00
Space group C2/c (No. 15)
One atom of each set of equivalent atoms:
Pu1 0.000 0.199 0.250 x4
Hf1 0.003 0.143 0.544 x8
Hf2 0.037 0.452 0.881 x8
Sc1 0.000 0.465 0.750 x4
Sc2 0.000 0.500 0.000 x4
Sc3 0.017 0.127 0.824 x8
Sc4 0.025 0.203 0.399 x8

Most intense lines, 2θ from 10° to 80°, by angle:
2theta  I/Imax  hkl
22.71  258  1 1 -3
23.30  298  1 1 3
24.82  212  1 1 -4
25.56  161  1 1 4
25.85  169  0 2 4
33.25  207  1 1 -7
34.26  1000  2 0 0
35.76  500  1 3 0
35.91  158  1 3 -1
37.55  146  1 1 8

# 3
Diffraction record for Pu2HfSc12. The XRD peak list is computed, not measured: it uses a PBE-relaxed structure and CuKα.

Atomic structure:
abc: 5.876 5.876 23.051
angles: 90.00 90.00 90.00
Space group P4/nbm (No. 125, origin choice 2)
One atom of each set of equivalent atoms:
Pu1 0.250 0.750 0.225 x4
Hf1 0.250 0.750 0.500 x2
Sc1 0.001 0.501 0.398 x8
Sc2 0.080 0.580 0.939 x8
Sc3 0.250 0.250 0.161 x4
Sc4 0.250 0.250 0.292 x4

Most intense lines, 2θ from 10° to 80°, by angle:
2theta  I/Imax  hkl
11.52  371  0 0 3
15.38  406  0 0 4
21.39  643  1 1 0
24.36  457  1 1 3
26.45  1000  1 1 4
31.42  522  2 0 2
32.63  487  2 0 3
34.26  767  2 0 4
34.76  942  1 1 7
43.57  453  2 2 0

# 4
Diffraction record for Pu2Hf2Sc7. The XRD peak list is computed, not measured: it uses a PBE-relaxed structure and CuKα.

Atomic structure:
abc: 8.165 8.662 7.824
angles: 90.00 103.89 90.00
Space group C2/m (No. 12)
One atom of each set of equivalent atoms:
Pu1 0.000 0.174 0.000 x4
Hf1 0.103 0.000 0.349 x4
Sc1 0.000 0.500 0.500 x2
Sc2 0.148 0.500 0.907 x4
Sc3 0.232 0.183 0.700 x8

Most intense lines, 2θ from 10° to 80°, by angle:
2theta  I/Imax  hkl
11.65  254  0 0 1
15.15  860  1 1 0
22.68  363  2 0 -1
23.65  315  0 2 1
34.76  766  3 1 -1
35.27  422  2 2 -2
35.46  282  0 0 3
36.06  1000  1 3 1
36.49  313  2 0 2
39.19  372  1 3 -2

# 5
Diffraction record for PuHf4Sc8. The XRD peak list is computed, not measured: it uses a PBE-relaxed structure and CuKα.

Atomic structure:
abc: 6.5382 6.5382 23.8035
angles: 90.00 90.00 120.00
Space group R-3m (No. 166, hexagonal axes)
One atom of each set of equivalent atoms:
Pu1 0.0000 0.0000 0.0000 x3
Hf1 0.0000 0.0000 0.5000 x3
Hf2 0.0000 0.5000 0.5000 x9
Sc1 0.0000 0.0000 0.2781 x6
Sc2 0.0181 0.5091 0.2723 x18

Most intense lines, 2θ from 10° to 80°, by angle:
2theta  I/Imax  hkl
11.15  299  0 0 3
17.34  193  0 1 2
22.41  338  0 0 6
31.83  235  0 2 1
32.51  286  2 0 2
35.10  1000  0 2 4
36.94  289  2 0 5
44.16  397  2 0 8
50.06  204  0 2 10
56.28  275  2 2 0

# 6
Diffraction record for PuHf3Sc. The XRD peak list is computed, not measured: it uses a PBE-relaxed structure and CuKα.

Atomic structure:
abc: 14.767 5.045 6.319
angles: 90.00 102.28 90.00
Space group C2/m (No. 12)
One atom of each set of equivalent atoms:
Pu1 0.096 0.000 0.051 x4
Hf1 0.005 0.500 0.743 x4
Hf2 0.099 0.000 0.544 x4
Hf3 0.210 0.500 0.603 x4
Sc1 0.210 0.500 0.109 x4

Most intense lines, 2θ from 10° to 80°, by angle:
2theta  I/Imax  hkl
22.77  80  1 1 -1
33.47  138  1 1 -2
33.95  189  2 0 2
35.59  290  0 2 0
35.81  1000  5 1 0
50.00  128  2 2 2
64.07  186  5 3 0
65.52  95  6 2 2
70.31  80  2 2 -4
70.47  153  3 1 4